The following is a computed X-ray powder pattern of AgIrSO. It was derived from DFT lattice parameters and positions (GGA-PBE), using Cu Kα X-rays.
Kinematic intensities with the Lorentz-polarization factor, no thermal factor.

```
16
Lattice="5.2887 0.0000 0.0000 0.0000 5.0170 0.0000 -0.0132 0.0000 9.9762" Properties=species:S:1:pos:R:3 pbc="T T T"
Ag 0.0050 0.0000 1.7077
Ag 1.8131 1.0094 9.7875
Ag 3.4625 3.5179 0.1887
Ag 5.2706 2.5085 8.2686
Ir 0.3694 2.5775 3.7436
Ir 2.1782 4.6288 3.7383
Ir 3.0974 2.1202 6.2379
Ir 4.9062 0.0690 6.2326
S 1.4558 0.8935 7.3266
S 1.8562 1.4344 2.2450
S 3.4194 3.9429 7.7312
S 3.8198 3.4020 2.6497
O 0.6421 0.6913 4.5950
O 1.8259 3.1652 5.0605
O 3.4497 0.6566 4.9157
O 4.6335 3.1998 5.3812
```

Largest 10 diffraction maxima, low angle first, 2θ = 10–90°:
| 2theta | I_rel |
| --- | --- |
| 24.51 | 28 |
| 26.06 | 26 |
| 30.40 | 100 |
| 36.60 | 22 |
| 38.49 | 15 |
| 39.58 | 18 |
| 47.53 | 13 |
| 51.68 | 17 |
| 53.70 | 14 |
| 61.02 | 13 |

---

The following is a computed X-ray powder pattern of TbSm2Si4Au4. It was derived from DFT lattice parameters and positions (GGA-PBE), using Cu Kα X-rays.
Kinematic intensities with the Lorentz-polarization factor, no thermal factor.

```
11
Lattice="-2.0928 2.1318 12.5653 2.0928 -2.1318 12.5653 2.0928 2.1318 -12.5653" Properties=species:S:1:pos:R:3 pbc="T T T"
Tb 0.0000 0.0000 0.0000
Sm 2.0928 0.0000 8.8559
Sm 0.0000 2.1318 3.7095
Si 2.0928 0.0000 4.7793
Si 0.0000 0.0000 11.3957
Si 0.0000 0.0000 13.7349
Si 0.0000 2.1318 7.7860
Au 2.0928 0.0000 2.3439
Au 0.0000 0.0000 6.3238
Au 0.0000 0.0000 18.8068
Au 0.0000 2.1318 10.2214
```

Largest 10 diffraction maxima, low angle first, 2θ = 10–90°:
| 2theta | I_rel |
| --- | --- |
| 21.17 | 16 |
| 27.74 | 13 |
| 32.87 | 25 |
| 33.21 | 100 |
| 42.40 | 20 |
| 43.22 | 25 |
| 45.02 | 15 |
| 54.66 | 12 |
| 62.15 | 17 |
| 67.36 | 13 |

---

The following is a computed X-ray powder pattern of Ba3ReN4. It was derived from DFT lattice parameters and positions (GGA-PBE), using Cu Kα X-rays.
Kinematic intensities with the Lorentz-polarization factor, no thermal factor.

```
16
Lattice="8.1389 0.0000 0.0000 0.0000 7.4858 0.0000 0.0000 0.0000 6.0037" Properties=species:S:1:pos:R:3 pbc="T T T"
Ba 0.0000 0.9465 0.0000
Ba 1.9644 2.5842 3.0477
Ba 2.1050 4.9016 0.0459
Ba 4.0695 6.5394 3.0018
Ba 6.0339 4.9016 0.0459
Ba 6.1745 2.5842 3.0477
Re 0.0000 6.2153 2.8074
Re 4.0695 1.2705 5.8093
N 0.0000 0.5603 3.1464
N 0.0000 6.0602 0.9721
N 1.5395 5.3757 3.3961
N 2.5300 2.1101 0.3943
N 4.0695 1.4256 3.9740
N 4.0695 6.9255 0.1445
N 5.6090 2.1101 0.3943
N 6.5994 5.3757 3.3961
```

Largest 10 diffraction maxima, low angle first, 2θ = 10–90°:
| 2theta | I_rel |
| --- | --- |
| 24.90 | 48 |
| 28.09 | 72 |
| 29.07 | 100 |
| 29.76 | 43 |
| 39.19 | 26 |
| 42.50 | 28 |
| 52.40 | 20 |
| 52.74 | 27 |
| 53.48 | 25 |
| 68.61 | 15 |

---

The following is a computed X-ray powder pattern of CsNiPS4. It was derived from DFT lattice parameters and positions (GGA-PBE), using Cu Kα X-rays.
Kinematic intensities with the Lorentz-polarization factor, no thermal factor.

```
14
Lattice="-4.2464 4.2464 5.9605 4.2464 -4.2464 5.9605 4.2464 4.2464 -5.9605" Properties=species:S:1:pos:R:3 pbc="T T T"
Cs 0.0000 0.0000 2.9802
Cs 0.0000 0.0000 8.9407
Ni 4.2464 0.0000 0.0000
Ni 0.0000 4.2464 0.0000
P 4.2464 0.0000 2.9802
P 0.0000 4.2464 2.9802
S 3.1695 -1.0769 1.5938
S 5.3233 -1.0769 4.3667
S 5.3233 1.0769 1.5938
S 3.1695 1.0769 4.3667
S 1.0769 3.1695 1.5938
S -1.0769 3.1695 4.3667
S -1.0769 5.3233 1.5938
S 1.0769 5.3233 4.3667
```

Largest 10 diffraction maxima, low angle first, 2θ = 10–90°:
| 2theta | I_rel |
| --- | --- |
| 14.86 | 14 |
| 20.96 | 100 |
| 24.60 | 12 |
| 29.75 | 22 |
| 36.70 | 28 |
| 36.85 | 25 |
| 42.75 | 16 |
| 47.91 | 17 |
| 52.95 | 19 |
| 57.55 | 12 |